Diffraction record for NdHo7. The X-ray diffraction stick pattern is theoretical, not measured: it uses a cell relaxed with GGA-PBE and Cu Kα X-rays.
No peak broadening, texture or thermal motion is included.

Main lines, in order of rising 2θ (2θ from 10° to 90°):
2θ = 31.0°, rel. 100.0
2θ = 35.9°, rel. 50.6
2θ = 51.7°, rel. 36.0
2θ = 61.5°, rel. 42.8
2θ = 64.5°, rel. 12.3
2θ = 76.1°, rel. 5.7
2θ = 84.4°, rel. 17.9
2θ = 87.1°, rel. 16.7

Cell and atoms:
```
NdHo7
1.0
0.000 5.003 5.003
5.003 0.000 5.003
5.003 5.003 0.000
Nd Ho
1 7
Cartesian
0.000 0.000 0.000
2.501 2.501 0.000
2.501 0.000 2.501
5.003 2.501 2.501
0.000 2.501 2.501
2.501 5.003 2.501
2.501 2.501 5.003
5.003 5.003 5.003
```